Structure and theoretical XRD peak list of W4I (a cell relaxed with PBE; Cu Kα (λ = 1.5418 Å)).

Atomic structure:
```
data_W4I
_chemical_formula_sum 'W4 I1'
_symmetry_space_group_name_H-M 'P m -3 m'
_symmetry_Int_Tables_number 221
_symmetry_space_group_name_Hall '-P 4 2 3'
_cell_length_a 4.7680
_cell_length_b 4.7680
_cell_length_c 4.7680
_cell_angle_alpha 90.00
_cell_angle_beta 90.00
_cell_angle_gamma 90.00
loop_
_atom_site_label
_atom_site_type_symbol
_atom_site_fract_x
_atom_site_fract_y
_atom_site_fract_z
W1 W 0.0000 0.0000 0.0000
W2 W 0.0000 0.5000 0.5000
I1 I 0.5000 0.5000 0.5000
```

Principal peaks in the range 2θ from 10° to 90°, by angle:
| 2θ/deg | intensity |
| --- | --- |
| 18.61 | 13 |
| 26.44 | 11 |
| 32.53 | 99 |
| 37.73 | 100 |
| 42.39 | 6 |
| 54.43 | 70 |
| 64.86 | 42 |
| 68.12 | 24 |
| 80.59 | 11 |
| 89.62 | 18 |